Theoretical powder diffractogram
Compound: Zn2TeMoO7
Radiation: a wavelength of 1.5418 Å
Structure: a PBE+U-relaxed structure
Peak positions follow from Bragg's law for the DFT cell and can differ from measured ones.

The 10 most intense peaks (2θ from 10° to 80°), most intense first:
- 26.79°, intensity 100, hkl 1 2 0
- 25.20°, intensity 39, hkl 1 1 1
- 27.25°, intensity 36, hkl 1 0 -2
- 32.04°, intensity 22, hkl 0 2 2
- 50.72°, intensity 18, hkl 2 3 1
- 26.57°, intensity 17, hkl 0 1 2
- 23.77°, intensity 17, hkl 0 2 1
- 19.18°, intensity 15, hkl 1 0 -1
- 29.14°, intensity 15, hkl 1 1 -2
- 44.29°, intensity 13, hkl 2 2 -2

Cell and atoms:
```
data_Zn2TeMoO7
_symmetry_space_group_name_H-M 'P 1 21 1'
_symmetry_Int_Tables_number 4
_symmetry_space_group_name_Hall 'P 2yb'
_cell_length_a 5.232
_cell_length_b 8.737
_cell_length_c 7.400
_cell_angle_alpha 90.00
_cell_angle_beta 100.91
_cell_angle_gamma 90.00
loop_
_atom_site_label
_atom_site_fract_x
_atom_site_fract_y
_atom_site_fract_z
Zn1 0.024 0.000 0.258
Zn2 0.441 0.829 0.978
Te1 0.006 0.122 0.858
Mo1 0.413 0.332 0.481
O1 0.186 0.659 0.950
O2 0.200 0.474 0.546
O3 0.208 0.305 0.873
O4 0.243 0.010 0.041
O5 0.248 0.153 0.442
O6 0.293 0.813 0.343
O7 0.491 0.395 0.267
```